[1]
Theoretical X-ray diffraction stick pattern of PrCu2O4 for Cu Ka, from a cell relaxed with GGA-PBE.
Neutral-atom scattering factors, no anomalous dispersion.

Structural model:
Cell: 6.427 6.427 6.427 Å, 125.45 125.45 80.79°
Sites, in units of the cell vectors:
1 Pr 0.375 0.125 0.250
2 Pr 0.625 0.875 0.750
3 Cu 0.000 0.000 0.500
4 Cu 0.000 0.500 0.000
5 Cu 0.000 0.500 0.500
6 Cu 0.500 0.500 0.000
7 O 0.030 0.145 0.327
8 O 0.204 0.530 0.385
9 O 0.319 0.704 0.173
10 O 0.355 0.181 0.885
11 O 0.645 0.819 0.115
12 O 0.681 0.296 0.827
13 O 0.796 0.470 0.615
14 O 0.970 0.855 0.673

Most intense lines, 5 to 70 degrees two-theta, low angle first:
two_theta	I_rel
28.13	51
30.35	12
31.34	46
35.29	100
35.58	24
49.03	21
52.58	24
54.55	17
57.17	20
58.17	28

---

[2]
Theoretical X-ray diffraction stick pattern of Sr2GdBeO5 for Cu Ka, from a cell relaxed with GGA-PBE.
Neutral-atom scattering factors, no anomalous dispersion.

Structural model:
Cell: 9.651 7.343 6.584 Å, 90.00 90.00 90.00°
Sites, in units of the cell vectors:
1 Sr 0.174 0.024 0.088
2 Sr 0.174 0.476 0.088
3 Sr 0.326 0.524 0.588
4 Sr 0.326 0.976 0.588
5 Sr 0.674 0.024 0.412
6 Sr 0.674 0.476 0.412
7 Sr 0.826 0.524 0.912
8 Sr 0.826 0.976 0.912
9 Gd 0.025 0.250 0.587
10 Gd 0.475 0.750 0.087
11 Gd 0.525 0.250 0.913
12 Gd 0.975 0.750 0.413
13 Be 0.102 0.750 0.813
14 Be 0.398 0.250 0.313
15 Be 0.602 0.750 0.687
16 Be 0.898 0.250 0.187
17 O 0.011 0.750 0.031
18 O 0.063 0.563 0.686
19 O 0.063 0.937 0.686
20 O 0.208 0.750 0.333
21 O 0.229 0.250 0.377
22 O 0.271 0.750 0.877
23 O 0.292 0.250 0.833
24 O 0.437 0.063 0.186
25 O 0.437 0.437 0.186
26 O 0.489 0.250 0.531
27 O 0.511 0.750 0.469
28 O 0.563 0.563 0.814
29 O 0.563 0.937 0.814
30 O 0.708 0.750 0.167
31 O 0.729 0.250 0.123
32 O 0.771 0.750 0.623
33 O 0.792 0.250 0.667
34 O 0.937 0.063 0.314
35 O 0.937 0.437 0.314
36 O 0.989 0.250 0.969

Most intense lines, 5 to 70 degrees two-theta, low angle first:
two_theta	I_rel
25.91	26
28.65	33
29.35	100
30.60	69
30.94	88
31.18	53
37.87	38
41.31	27
47.17	45
59.69	28

---

[3]
Theoretical X-ray diffraction stick pattern of KWCl6 for Cu Ka, from a cell relaxed with GGA-PBE.
Neutral-atom scattering factors, no anomalous dispersion.

Structural model:
Cell: 6.840 6.840 12.290 Å, 100.36 100.36 55.82°
Sites, in units of the cell vectors:
1 K 0.118 0.882 0.750
2 K 0.882 0.118 0.250
3 W 0.000 0.500 0.000
4 W 0.500 0.000 0.500
5 Cl 0.105 0.203 0.541
6 Cl 0.200 0.372 0.840
7 Cl 0.203 0.105 0.041
8 Cl 0.301 0.538 0.104
9 Cl 0.372 0.200 0.340
10 Cl 0.462 0.699 0.396
11 Cl 0.538 0.301 0.604
12 Cl 0.628 0.800 0.660
13 Cl 0.699 0.462 0.896
14 Cl 0.797 0.895 0.959
15 Cl 0.800 0.628 0.160
16 Cl 0.895 0.797 0.459

Most intense lines, 5 to 70 degrees two-theta, low angle first:
two_theta	I_rel
14.72	63
14.97	61
16.72	100
18.02	93
18.77	41
23.13	26
25.99	35
26.28	26
31.93	25
42.24	31

---

[4]
Theoretical X-ray diffraction stick pattern of BaBiClO2 for Cu Ka, from a cell relaxed with GGA-PBE.
Neutral-atom scattering factors, no anomalous dispersion.

Structural model:
Cell: 7.336 7.336 5.784 Å, 90.00 90.00 131.77°
Sites, in units of the cell vectors:
1 Ba 0.117 0.883 0.750
2 Ba 0.883 0.117 0.250
3 Bi 0.426 0.574 0.750
4 Bi 0.574 0.426 0.250
5 Cl 0.246 0.754 0.250
6 Cl 0.754 0.246 0.750
7 O 0.272 0.272 0.000
8 O 0.272 0.272 0.500
9 O 0.728 0.728 0.000
10 O 0.728 0.728 0.500

Most intense lines, 5 to 70 degrees two-theta, low angle first:
two_theta	I_rel
13.22	24
16.20	13
22.37	33
29.34	100
29.81	23
30.90	32
40.40	11
43.47	38
52.63	21
54.02	18

---

[5]
Theoretical X-ray diffraction stick pattern of AlSn2O4 for Cu Ka, from a cell relaxed with GGA-PBE.
Neutral-atom scattering factors, no anomalous dispersion.

Structural model:
Cell: 6.521 6.521 6.521 Å, 60.00 60.00 60.00°
Sites, in units of the cell vectors:
1 Al 0.125 0.125 0.125
2 Al 0.875 0.875 0.875
3 Sn 0.000 0.500 0.500
4 Sn 0.500 0.000 0.500
5 Sn 0.500 0.500 0.000
6 Sn 0.500 0.500 0.500
7 O 0.217 0.761 0.761
8 O 0.239 0.239 0.239
9 O 0.239 0.239 0.783
10 O 0.239 0.783 0.239
11 O 0.761 0.217 0.761
12 O 0.761 0.761 0.217
13 O 0.761 0.761 0.761
14 O 0.783 0.239 0.239

Most intense lines, 5 to 70 degrees two-theta, low angle first:
two_theta	I_rel
16.65	69
32.19	100
33.66	45
39.07	56
42.74	29
51.49	33
56.44	52
59.28	17
66.48	13
67.35	25

---

[6]
Theoretical X-ray diffraction stick pattern of NaTiSe4 for Cu Ka, from a cell relaxed with GGA-PBE.
Neutral-atom scattering factors, no anomalous dispersion.

Structural model:
Cell: 13.121 7.416 13.143 Å, 90.00 106.63 90.00°
Sites, in units of the cell vectors:
1 Na 0.037 0.166 0.118
2 Na 0.037 0.334 0.618
3 Na 0.404 0.184 0.130
4 Na 0.404 0.316 0.630
5 Na 0.596 0.684 0.370
6 Na 0.596 0.816 0.870
7 Na 0.963 0.666 0.382
8 Na 0.963 0.834 0.882
9 Ti 0.231 0.728 0.115
10 Ti 0.231 0.772 0.615
11 Ti 0.282 0.701 0.374
12 Ti 0.282 0.799 0.874
13 Ti 0.718 0.201 0.126
14 Ti 0.718 0.299 0.626
15 Ti 0.769 0.228 0.385
16 Ti 0.769 0.272 0.885
17 Se 0.050 0.584 0.104
18 Se 0.050 0.916 0.604
19 Se 0.103 0.692 0.742
20 Se 0.103 0.808 0.242
21 Se 0.176 0.518 0.499
22 Se 0.176 0.982 0.999
23 Se 0.232 0.000 0.464
24 Se 0.232 0.500 0.964
25 Se 0.251 0.077 0.753
26 Se 0.251 0.423 0.253
27 Se 0.378 0.627 0.771
28 Se 0.378 0.873 0.271
29 Se 0.396 0.646 0.050
30 Se 0.396 0.854 0.550
31 Se 0.409 0.074 0.903
32 Se 0.409 0.426 0.403
33 Se 0.591 0.574 0.597
34 Se 0.591 0.926 0.097
35 Se 0.604 0.146 0.450
36 Se 0.604 0.354 0.950
37 Se 0.622 0.127 0.729
38 Se 0.622 0.373 0.229
39 Se 0.749 0.577 0.747
40 Se 0.749 0.923 0.247
41 Se 0.768 0.000 0.536
42 Se 0.768 0.500 0.036
43 Se 0.824 0.018 0.001
44 Se 0.824 0.482 0.501
45 Se 0.897 0.192 0.758
46 Se 0.897 0.308 0.258
47 Se 0.950 0.084 0.396
48 Se 0.950 0.416 0.896

Most intense lines, 5 to 70 degrees two-theta, low angle first:
two_theta	I_rel
13.86	100
14.09	29
27.82	43
28.12	87
32.21	48
32.63	30
34.39	33
36.42	40
42.34	32
43.16	44